ThS6I2: theoretical powder XRD pattern (copper Kα), based on a crystal structure in Alexandria, relaxed with GGA-PBE.
Kinematic intensities with the Lorentz-polarization factor, no thermal factor.

Top 10 peaks for 10° ≤ 2θ ≤ 80°, most intense first:
d_spacing, two_theta, I (rel.)
7.007, 12.63, 100
7.394, 11.97, 53
2.611, 34.35, 32
3.386, 26.32, 30
3.368, 26.47, 26
4.219, 21.06, 25
2.490, 36.08, 19
3.978, 22.35, 19
3.001, 29.77, 16
2.518, 35.66, 16

Structure:
```
9
Lattice="5.1921 0.0000 0.0000 1.1679 7.9568 0.0000 0.5712 3.9204 7.3943" Properties=species:S:1:pos:R:3 pbc="T T T"
Th 0.0000 0.0000 0.0000
S 1.6784 9.3238 5.7930
S 1.1091 5.4041 1.6051
S 2.3047 5.2852 0.0013
S 4.6264 6.5920 7.3930
S 5.8221 6.4731 5.7892
S 5.2528 2.5534 1.6013
I 3.1671 3.9195 5.3782
I 3.7640 7.9577 2.0161
```



CaTl2AuCl: theoretical powder XRD pattern (copper Kα), based on a crystal structure in Alexandria, relaxed with GGA-PBE.
Kinematic intensities with the Lorentz-polarization factor, no thermal factor.

Top 10 peaks for 10° ≤ 2θ ≤ 80°, most intense first:
d_spacing, two_theta, I (rel.)
3.039, 29.39, 100
3.024, 29.54, 100
2.850, 31.39, 82
2.073, 43.66, 76
2.086, 43.37, 62
3.321, 26.85, 57
3.469, 25.68, 47
2.061, 43.93, 43
2.099, 43.10, 38
2.191, 41.20, 34

Structure:
```
5
Lattice="4.1828 0.0000 0.0000 2.0780 3.6318 0.0000 0.7171 0.4865 10.3536" Properties=species:S:1:pos:R:3 pbc="T T T"
Ca 0.0000 0.0000 0.0000
Tl 0.7283 0.4985 4.8863
Tl 2.8075 1.7020 8.1013
Au 4.8990 2.9166 6.5660
Cl 4.1694 2.4190 1.3256
```



Pr2BeGe3Pt4: theoretical powder XRD pattern (copper Kα), based on a crystal structure in Alexandria, relaxed with GGA-PBE.
Kinematic intensities with the Lorentz-polarization factor, no thermal factor.

Top 10 peaks for 10° ≤ 2θ ≤ 80°, most intense first:
d_spacing, two_theta, I (rel.)
2.612, 34.34, 100
2.159, 41.84, 89
2.652, 33.80, 87
2.922, 30.59, 63
1.674, 54.83, 44
1.944, 46.73, 40
1.527, 60.66, 30
1.473, 63.14, 27
1.827, 49.92, 25
1.318, 71.59, 24

Structure:
```
10
Lattice="4.3182 0.0000 0.0000 0.0000 4.3182 0.0000 0.0000 0.0000 10.0819" Properties=species:S:1:pos:R:3 pbc="T T T"
Pr 0.0000 2.1591 2.4265
Pr 2.1591 0.0000 7.6554
Be 2.1591 2.1591 0.0000
Ge 0.0000 0.0000 0.0000
Ge 0.0000 2.1591 6.4156
Ge 2.1591 0.0000 3.6663
Pt 0.0000 0.0000 5.0410
Pt 0.0000 2.1591 8.8921
Pt 2.1591 0.0000 1.1898
Pt 2.1591 2.1591 5.0410
```



Sn8P2O13: theoretical powder XRD pattern (copper Kα), based on a crystal structure in Alexandria, relaxed with GGA-PBE.
Kinematic intensities with the Lorentz-polarization factor, no thermal factor.

Top 10 peaks for 10° ≤ 2θ ≤ 80°, most intense first:
d_spacing, two_theta, I (rel.)
3.172, 28.13, 100
3.050, 29.28, 91
2.891, 30.93, 34
2.533, 35.44, 25
1.905, 47.74, 23
2.689, 33.32, 21
1.844, 49.43, 18
1.678, 54.69, 13
3.638, 24.47, 13
1.739, 52.62, 13

Structure:
```
46
Lattice="5.3895 -5.0658 0.0000 5.3895 5.0658 0.0000 -1.7779 0.0000 14.4549" Properties=species:S:1:pos:R:3 pbc="T T T"
Sn 0.4027 0.0000 2.5560
Sn 3.0052 2.2433 3.1054
Sn 3.4695 2.4808 8.6819
Sn 2.9652 0.0000 0.1639
Sn 2.5546 0.0000 5.9336
Sn 5.5315 2.4808 5.7730
Sn 3.0129 0.0000 11.3300
Sn 5.9959 2.2433 11.3495
Sn 3.0052 -2.2433 3.1054
Sn 5.9881 0.0000 3.1249
Sn 3.4695 -2.4808 8.6819
Sn 6.4465 0.0000 8.5213
Sn 6.0359 0.0000 14.2910
Sn 5.5315 -2.4808 5.7730
Sn 5.9959 -2.2433 11.3495
Sn 8.5983 0.0000 11.8989
P 0.5375 0.0000 8.7344
P 5.3895 2.5146 0.0000
P 5.3895 -2.5146 0.0000
P 8.4636 0.0000 5.7205
O 3.8160 3.7906 5.2380
O 1.6058 1.4570 4.6571
O 2.8353 3.4019 13.4423
O 0.6898 0.0000 7.1793
O 5.1851 3.7906 9.2169
O 6.1658 3.4019 1.0126
O 4.3878 1.6028 0.7835
O 2.5770 0.0000 2.3171
O 1.9724 0.0000 9.3535
O 4.7744 1.4959 4.0295
O 1.6058 -1.4570 4.6571
O 4.2266 1.4959 10.4254
O 4.6132 1.6028 13.6714
O 4.3878 -1.6028 0.7835
O 4.7744 -1.4959 4.0295
O 7.3953 1.4570 9.7978
O 4.2266 -1.4959 10.4254
O 7.0286 0.0000 5.1014
O 6.4241 0.0000 12.1378
O 4.6132 -1.6028 13.6714
O 2.8353 -3.4019 13.4423
O 3.8160 -3.7906 5.2380
O 8.3113 0.0000 7.2755
O 6.1658 -3.4019 1.0126
O 7.3953 -1.4570 9.7978
O 5.1851 -3.7906 9.2169
```



Sr5Zn2Pb5: theoretical powder XRD pattern (copper Kα), based on a crystal structure in Alexandria, relaxed with GGA-PBE.
Kinematic intensities with the Lorentz-polarization factor, no thermal factor.

Top 10 peaks for 10° ≤ 2θ ≤ 80°, most intense first:
d_spacing, two_theta, I (rel.)
2.606, 34.41, 100
3.168, 28.17, 93
2.324, 38.74, 51
2.799, 31.97, 51
3.108, 28.72, 49
4.385, 20.25, 47
4.257, 20.86, 37
2.955, 30.24, 37
2.657, 33.74, 35
3.577, 24.89, 28

Structure:
```
12
Lattice="8.8346 -2.3243 0.0000 8.8346 2.3243 0.0000 -8.5715 0.0000 9.8624" Properties=species:S:1:pos:R:3 pbc="T T T"
Sr 0.0000 0.0000 0.0000
Sr -1.6246 0.0000 4.1945
Sr -3.4901 0.0000 8.1439
Sr 12.5878 0.0000 1.7185
Sr 10.7223 0.0000 5.6679
Zn 0.0413 0.0000 7.3274
Zn 9.0564 0.0000 2.5350
Pb 1.6670 0.0000 3.0745
Pb 6.4071 0.0000 1.6000
Pb 4.5489 0.0000 4.9312
Pb 2.6906 0.0000 8.2624
Pb 7.4308 0.0000 6.7879
```



LaTb5Th: theoretical powder XRD pattern (copper Kα), based on a crystal structure in Alexandria, relaxed with GGA-PBE.
Kinematic intensities with the Lorentz-polarization factor, no thermal factor.

Top 10 peaks for 10° ≤ 2θ ≤ 80°, most intense first:
d_spacing, two_theta, I (rel.)
2.873, 31.13, 100
2.855, 31.33, 78
2.714, 33.01, 53
2.804, 31.92, 50
2.625, 34.16, 43
2.679, 33.45, 38
2.898, 30.86, 38
1.759, 51.99, 25
1.559, 59.26, 15
1.488, 62.39, 14

Structure:
```
14
Lattice="6.3028 0.0000 0.0000 0.4651 8.7937 0.0000 2.2559 1.6519 8.3962" Properties=species:S:1:pos:R:3 pbc="T T T"
La 1.2523 2.8968 1.6481
La 7.7714 7.5487 6.7481
Tb 2.2397 1.6748 5.0441
Tb 3.5704 4.4600 6.6843
Tb 2.3035 5.9028 0.3029
Tb 3.6470 8.9289 1.7847
Tb 4.4563 7.1837 4.9248
Tb 4.5675 3.2618 3.4714
Tb 5.3768 1.5167 6.6115
Tb 6.7202 4.5428 8.0933
Tb 5.4534 5.9856 1.7119
Tb 6.7840 8.7707 3.3521
Th 0.0000 0.0000 0.0000
Th 1.3605 5.2228 4.1981
```



SmDy3Bi3: theoretical powder XRD pattern (copper Kα), based on a crystal structure in Alexandria, relaxed with GGA-PBE.
Kinematic intensities with the Lorentz-polarization factor, no thermal factor.

Top 10 peaks for 10° ≤ 2θ ≤ 80°, most intense first:
d_spacing, two_theta, I (rel.)
2.595, 34.57, 100
2.652, 33.80, 89
2.865, 31.22, 83
3.145, 28.38, 67
2.536, 35.40, 54
4.594, 19.32, 53
2.970, 30.09, 49
1.855, 49.10, 42
2.027, 44.70, 33
3.710, 23.99, 28

Structure:
```
14
Lattice="4.5936 2.6521 6.2892 -4.5936 2.6521 6.2892 0.0000 -5.3043 6.2892" Properties=species:S:1:pos:R:3 pbc="T T T"
Sm 0.0000 0.0000 3.1341
Sm 0.0000 0.0000 15.7336
Dy -2.3793 0.0089 7.8881
Dy -1.1974 -2.0561 10.9797
Dy 1.1819 -2.0650 7.8881
Dy -1.1819 2.0650 10.9797
Dy 1.1974 2.0561 7.8880
Dy 2.3793 -0.0089 10.9797
Bi -1.7923 -3.0685 7.8328
Bi -3.5536 0.0180 11.0349
Bi -1.7612 3.0865 7.8328
Bi 1.7612 -3.0865 11.0349
Bi 3.5536 -0.0180 7.8328
Bi 1.7923 3.0685 11.0349
```



Tm2BiSbO8: theoretical powder XRD pattern (copper Kα), based on a crystal structure in Alexandria, relaxed with GGA-PBE.
Kinematic intensities with the Lorentz-polarization factor, no thermal factor.

Top 10 peaks for 10° ≤ 2θ ≤ 80°, most intense first:
d_spacing, two_theta, I (rel.)
2.776, 32.24, 100
3.612, 24.65, 61
3.457, 25.77, 53
1.880, 48.43, 42
1.835, 49.69, 37
2.497, 35.96, 31
1.490, 62.31, 22
1.388, 67.47, 11
1.559, 59.27, 10
1.516, 61.14, 10

Structure:
```
12
Lattice="3.4571 -3.6116 0.0000 3.4571 3.6116 0.0000 0.0000 0.0000 6.6796" Properties=species:S:1:pos:R:3 pbc="T T T"
Tm 0.0000 0.0000 1.6289
Tm 0.0000 0.0000 5.0507
Bi 3.4571 0.0000 3.3398
Sb 3.4571 0.0000 0.0000
O 1.3774 0.0000 3.3398
O 1.4760 0.0000 0.0000
O 3.4571 1.3398 1.5769
O 3.4571 1.3398 5.1027
O 3.4571 -1.3398 1.5769
O 3.4571 -1.3398 5.1027
O 5.4382 0.0000 0.0000
O 5.5368 0.0000 3.3398
```



La2Ce3Si4: theoretical powder XRD pattern (copper Kα), based on a crystal structure in Alexandria, relaxed with GGA-PBE.
Kinematic intensities with the Lorentz-polarization factor, no thermal factor.

Top 10 peaks for 10° ≤ 2θ ≤ 80°, most intense first:
d_spacing, two_theta, I (rel.)
2.729, 32.82, 100
2.813, 31.81, 67
2.749, 32.57, 55
3.488, 25.54, 46
2.451, 36.67, 40
3.411, 26.13, 38
2.480, 36.23, 38
3.013, 29.65, 37
3.127, 28.55, 34
2.907, 30.76, 28

Structure:
```
18
Lattice="7.8731 0.0000 0.0000 0.0000 7.8922 0.0000 -2.1938 0.0000 7.4261" Properties=species:S:1:pos:R:3 pbc="T T T"
La 1.3985 1.4205 0.6431
La 0.3016 2.5257 4.3561
La 5.3777 5.3666 3.0700
La 4.2808 6.4718 6.7830
Ce 1.3919 5.4160 1.8718
Ce 0.2950 6.4223 5.5848
Ce 2.8397 0.0000 3.7130
Ce 3.9365 3.9461 0.0000
Ce 5.3843 1.4699 1.8413
Ce 4.2874 2.4762 5.5543
Si -1.3220 4.1608 6.5760
Si -0.2251 7.6775 2.8629
Si 1.9519 0.8908 6.5470
Si 3.0488 3.0554 2.8339
Si 2.6306 4.8369 4.5922
Si 3.7274 7.0015 0.8791
Si 5.9045 0.2147 4.5632
Si 7.0013 3.7314 0.8501
```



TlGe2Cl5: theoretical powder XRD pattern (copper Kα), based on a crystal structure in Alexandria, relaxed with GGA-PBE.
Kinematic intensities with the Lorentz-polarization factor, no thermal factor.

Top 10 peaks for 10° ≤ 2θ ≤ 80°, most intense first:
d_spacing, two_theta, I (rel.)
4.029, 22.06, 100
4.633, 19.16, 61
2.869, 31.18, 61
2.673, 33.53, 50
2.812, 31.82, 41
6.129, 14.45, 41
3.246, 27.48, 35
2.951, 30.29, 34
2.392, 37.60, 29
3.739, 23.80, 28

Structure:
```
16
Lattice="2.6729 -6.1287 0.0000 2.6729 6.1287 0.0000 0.0000 0.0000 14.1553" Properties=species:S:1:pos:R:3 pbc="T T T"
Tl 2.6729 5.9603 10.6165
Tl 2.6729 -5.9603 3.5388
Ge 2.6729 1.7138 8.0727
Ge 2.6729 1.7138 13.1603
Ge 2.6729 -1.7138 0.9950
Ge 2.6729 -1.7138 6.0826
Cl 2.6729 4.3190 0.9077
Cl 2.6729 4.3190 6.1699
Cl 2.6729 2.3755 10.6165
Cl 2.6729 0.6237 1.6129
Cl 2.6729 0.6237 5.4648
Cl 2.6729 -0.6237 8.6905
Cl 2.6729 -0.6237 12.5425
Cl 2.6729 -2.3755 3.5388
Cl 2.6729 -4.3190 7.9854
Cl 2.6729 -4.3190 13.2476
```



KDyZn2F8: theoretical powder XRD pattern (copper Kα), based on a crystal structure in Alexandria, relaxed with GGA-PBE.
Kinematic intensities with the Lorentz-polarization factor, no thermal factor.

Top 10 peaks for 10° ≤ 2θ ≤ 80°, most intense first:
d_spacing, two_theta, I (rel.)
3.684, 24.16, 100
2.635, 34.03, 45
2.577, 34.82, 34
4.489, 19.78, 33
8.325, 10.63, 28
1.633, 56.33, 26
2.143, 42.16, 21
3.369, 26.46, 21
1.663, 55.25, 20
1.521, 60.90, 15

Structure:
```
12
Lattice="2.6348 1.5212 8.3249 -2.6348 1.5212 8.3249 0.0000 -3.0424 8.3249" Properties=species:S:1:pos:R:3 pbc="T T T"
K 0.0000 0.0000 0.0000
Dy 0.0000 0.0000 12.4873
Zn 0.0000 0.0000 6.4045
Zn 0.0000 0.0000 18.5701
F -0.8784 -1.4614 11.0981
F -0.8264 -1.4914 13.8765
F 0.0000 0.0000 8.2612
F -0.8264 1.4914 11.0981
F -0.8784 1.4614 13.8765
F 0.0000 0.0000 16.7134
F 1.7048 -0.0300 11.0981
F 1.7048 0.0300 13.8765
```



Nd5Sm: theoretical powder XRD pattern (copper Kα), based on a crystal structure in Alexandria, relaxed with GGA-PBE.
Kinematic intensities with the Lorentz-polarization factor, no thermal factor.

Top 10 peaks for 10° ≤ 2θ ≤ 80°, most intense first:
d_spacing, two_theta, I (rel.)
2.999, 29.79, 100
2.594, 34.58, 34
1.837, 49.63, 30
1.565, 59.04, 29
2.603, 34.45, 17
1.569, 58.87, 15
1.499, 61.88, 12
1.833, 49.73, 6
1.297, 72.94, 4
1.302, 72.64, 2

Structure:
```
12
Lattice="5.2064 0.0000 0.0000 0.0000 11.0002 0.0000 0.0000 0.0000 7.3393" Properties=species:S:1:pos:R:3 pbc="T T T"
Nd 1.3016 0.9155 0.9147
Nd 1.3016 0.9222 4.5913
Nd 1.3016 4.5779 4.5913
Nd 1.3016 4.5846 0.9147
Nd 1.3016 8.2502 4.5891
Nd 3.9048 2.7501 2.7502
Nd 3.9048 6.4156 6.4246
Nd 3.9048 6.4223 2.7481
Nd 3.9048 10.0780 2.7481
Nd 3.9048 10.0847 6.4246
Sm 1.3016 8.2502 0.9122
Sm 3.9048 2.7501 6.4271
```